Record 1
Structure and simulated PXRD pattern of Cu3PbO6 (a GGA-PBE-relaxed structure; Cu Kα).

Most intense lines, 2θ = 10–90°, in order of rising 2θ:
d_spacing	2theta	Rel. int.	index
5.643	15.70	58	1 1 0
4.926	18.01	15	0 2 0
2.821	31.71	96	2 2 0
2.758	32.46	100	0 2 1
2.463	36.48	21	0 4 0
2.393	37.59	41	2 0 1
2.214	40.76	20	1 3 1
1.716	53.38	61	2 4 1
1.664	55.19	15	0 0 2
1.482	62.69	15	2 6 0
1.460	63.74	28	4 2 1
1.434	65.07	24	2 2 2

Structural model:
Cell: 6.884 9.852 3.329 Å, 90.00 90.00 90.00°
Space group Cmmm (No. 65)
Symmetry-distinct sites (fractional):
Cu 0.000 0.000 0.000 [2 per cell]
Cu 0.250 0.250 0.500 [4 per cell]
Pb 0.000 0.500 0.000 [2 per cell]
O 0.000 0.344 0.500 [4 per cell]
O 0.195 0.128 0.000 [8 per cell]

Record 2
Structure and simulated PXRD pattern of Ba2Na2Sr4Ir (a GGA-PBE-relaxed structure; Cu Kα).

Most intense lines, 2θ = 10–90°, in order of rising 2θ:
d_spacing	2theta	Rel. int.	index
7.451	11.88	21	2 0 0
7.367	12.01	71	1 1 0
7.018	12.61	19	0 0 1
5.095	17.41	59	1 1 -1
3.509	25.38	16	0 0 2
3.271	27.26	100	4 0 1
3.253	27.42	19	2 2 1
2.701	33.17	15	3 1 2
2.549	35.21	23	2 2 -2
2.535	35.41	23	4 0 2
2.143	42.18	27	6 2 0
1.969	46.10	20	2 2 3

Structural model:
Cell: 14.902 8.475 7.019 Å, 90.00 90.75 90.00°
Space group C2/m (No. 12)
Symmetry-distinct sites (fractional):
Ba 0.167 0.000 0.241 [4 per cell]
Na 0.167 0.500 0.252 [4 per cell]
Sr 0.078 0.247 0.762 [8 per cell]
Ir 0.000 0.000 0.000 [2 per cell]

Record 3
Structure and simulated PXRD pattern of PaCoPtRh (a GGA-PBE-relaxed structure; Cu Kα).

Most intense lines, 2θ = 10–90°, in order of rising 2θ:
d_spacing	2theta	Rel. int.	index
3.891	22.85	17	1 0 0
2.896	30.88	16	0 1 1
2.323	38.76	100	1 1 1
2.050	44.18	17	0 0 2
2.045	44.28	17	0 2 0
1.946	46.68	15	2 0 0
1.448	64.34	11	0 2 2
1.410	66.26	21	2 2 0
1.230	77.64	13	1 1 3
1.228	77.79	13	1 3 1
1.184	81.27	12	3 1 1
1.162	83.16	11	2 2 2

Structural model:
Cell: 3.891 4.091 4.100 Å, 90.00 90.00 90.00°
Space group Pmmm (No. 47)
Symmetry-distinct sites (fractional):
Pa 0.000 0.000 0.000 [1 per cell]
Co 0.500 0.500 0.000 [1 per cell]
Pt 0.000 0.500 0.500 [1 per cell]
Rh 0.500 0.000 0.500 [1 per cell]

Record 4
Structure and simulated PXRD pattern of Sc3TiAl8 (a GGA-PBE-relaxed structure; Cu Kα).

Most intense lines, 2θ = 10–90°, in order of rising 2θ:
d_spacing	2theta	Rel. int.	index
2.653	33.78	48	1 1 0
2.263	39.84	100	1 0 10
2.166	41.69	25	0 2 4
1.532	60.42	11	1 2 8
1.531	60.48	4	3 0 0
1.445	64.47	7	0 0 18
1.444	64.54	22	2 1 10
1.328	71.00	12	0 2 16
1.326	71.12	12	2 2 0
1.187	81.04	6	2 1 16
1.144	84.74	7	1 3 10
1.131	85.94	7	4 0 4

Structural model:
Cell: 5.3026 5.3026 26.0343 Å, 90.00 90.00 120.00°
Space group R3m (No. 160, hexagonal axes)
Symmetry-distinct sites (fractional):
Sc 0.0000 0.0000 0.0000 [3 per cell]
Sc 0.0000 0.0000 0.1258 [3 per cell]
Sc 0.0000 0.0000 0.6236 [3 per cell]
Ti 0.0000 0.0000 0.5000 [3 per cell]
Al 0.0000 0.0000 0.3124 [3 per cell]
Al 0.0000 0.0000 0.8125 [3 per cell]
Al 0.0011 0.5006 0.0637 [9 per cell]
Al 0.1669 0.3339 0.8945 [9 per cell]